Sm8HoEr6: theoretical PXRD pattern (Cu Kα (λ = 1.5418 Å)), based on the GGA-PBE geometry in Alexandria.
Neutral-atom scattering factors, no anomalous dispersion.

Peak list (10 most intense, 2θ from 10° to 90°, by angle)
- 2θ = 25.9°, rel. 25, (2 0 1)
- 2θ = 29.1°, rel. 32, (2 1 0)
- 2θ = 29.7°, rel. 22, (1 0 2)
- 2θ = 32.3°, rel. 100, (3 -2 1)
- 2θ = 33.1°, rel. 20, (3 0 0)
- 2θ = 33.6°, rel. 52, (1 1 2)
- 2θ = 51.0°, rel. 17, (3 2 1)
- 2θ = 51.6°, rel. 14, (1 4 0)
- 2θ = 53.3°, rel. 10, (4 0 2)
- 2θ = 62.2°, rel. 12, (6 -2 1)

Structural model:
```
data_Sm8HoEr6
_chemical_formula_sum 'Sm8 Ho1 Er6'
_cell_length_a 9.3710
_cell_length_b 9.3710
_cell_length_c 6.4797
_cell_angle_alpha 90.00
_cell_angle_beta 90.00
_cell_angle_gamma 120.00
_space_group_name_H-M_alt 'P -3'
_space_group_IT_number 147
_space_group_name_Hall '-P 3'
loop_
_atom_site_label
_atom_site_type_symbol
_atom_site_fract_x
_atom_site_fract_y
_atom_site_fract_z
Sm1 Sm 0.0364 0.2848 0.3316
Sm2 Sm 0.3333 0.6667 0.3759
Ho1 Ho 0.0000 0.0000 0.0000
Er1 Er 0.0942 0.4398 0.8389
```